WO2: theoretical X-ray powder pattern (Cu Kα), based on DFT lattice parameters and positions (PBE+U).
No peak broadening, texture or thermal motion is included.

Atomic structure:
Lattice parameters (Å, degrees): 9.1814 3.3146 11.2033 90.00 90.00 90.00
Space group Pnma (No. 62)
Asymmetric unit:
W: 0.0662 0.2500 0.1124 (multiplicity 4)
W: 0.0747 0.2500 0.6106 (multiplicity 4)
O: 0.0077 0.7500 0.2215 (multiplicity 4)
O: 0.0637 0.2500 0.4271 (multiplicity 4)
O: 0.1098 0.7500 0.9995 (multiplicity 4)
O: 0.2146 0.7500 0.6438 (multiplicity 4)

Top 10 peaks for 15 to 90 degrees two-theta, by angle:
hkl	Position (°2θ)	Rel. int.
1 0 2	18.55	61.4
2 0 0	19.34	62.6
0 0 4	31.95	32.7
1 1 2	32.88	100.0
3 0 2	33.35	92.8
2 1 4	46.85	32.0
4 1 0	48.23	26.5
1 1 6	57.53	20.6
4 1 4	59.02	31.8
3 2 2	66.27	16.3


WO2: theoretical X-ray powder pattern (Cu Kα), based on DFT lattice parameters and positions (PBE+U).
No peak broadening, texture or thermal motion is included.

Atomic structure:
Lattice parameters (Å, degrees): 9.1072 9.1072 9.1072 90.00 90.00 90.00
Space group Fd-3m (No. 227, origin choice 2)
Asymmetric unit:
W: 0.0000 0.0000 0.0000 (multiplicity 16)
O: 0.0205 0.0205 0.2295 (multiplicity 32)

Top 10 peaks for 15 to 90 degrees two-theta, by angle:
hkl	Position (°2θ)	Rel. int.
1 1 1	16.86	100.0
3 1 1	32.61	49.3
2 2 2	34.10	42.6
4 0 0	39.58	41.2
3 3 1	43.31	19.6
5 1 1	52.19	21.1
4 4 0	57.22	26.4
5 3 1	60.10	20.2
6 2 2	68.32	20.9
5 5 3	81.11	10.9


WO5: theoretical X-ray powder pattern (Cu Kα), based on DFT lattice parameters and positions (PBE+U).
No peak broadening, texture or thermal motion is included.

Atomic structure:
Lattice parameters (Å, degrees): 8.1812 4.0018 12.4766 90.00 106.82 90.00
Space group P2_1 (No. 4)
Asymmetric unit:
W: 0.1063 0.0000 0.4374 (multiplicity 2)
W: 0.3860 0.1475 0.0547 (multiplicity 2)
O: 0.0188 0.5104 0.7014 (multiplicity 2)
O: 0.0610 0.5034 0.4682 (multiplicity 2)
O: 0.1643 0.9925 0.1011 (multiplicity 2)
O: 0.1825 0.3136 0.1212 (multiplicity 2)
O: 0.1865 0.0778 0.9281 (multiplicity 2)
O: 0.3128 0.0209 0.5791 (multiplicity 2)
O: 0.3198 0.8237 0.3982 (multiplicity 2)
O: 0.3219 0.1611 0.3956 (multiplicity 2)
O: 0.4325 0.6295 0.0274 (multiplicity 2)
O: 0.4988 0.0814 0.1957 (multiplicity 2)

Top 10 peaks for 15 to 90 degrees two-theta, by angle:
hkl	Position (°2θ)	Rel. int.
1 0 1	15.22	100.0
0 1 1	23.45	11.3
1 1 0	24.99	28.4
1 1 -2	27.41	41.4
1 0 3	27.93	23.4
2 1 -1	31.28	19.8
0 1 3	31.70	15.1
2 0 -4	32.00	14.6
3 0 -3	35.24	16.5
2 0 4	43.10	11.3


WO3: theoretical X-ray powder pattern (Cu Kα), based on DFT lattice parameters and positions (PBE+U).
No peak broadening, texture or thermal motion is included.

Atomic structure:
Lattice parameters (Å, degrees): 7.5110 7.5110 7.7118 90.00 90.00 120.00
Space group P6_3/mcm (No. 193)
Asymmetric unit:
W: 0.0000 0.4838 0.2500 (multiplicity 6)
O: 0.0000 0.5000 0.0000 (multiplicity 6)
O: 0.2101 0.4258 0.7500 (multiplicity 12)

Top 10 peaks for 15 to 90 degrees two-theta, by angle:
hkl	Position (°2θ)	Rel. int.
0 0 2	23.07	61.1
1 1 0	23.69	21.5
1 0 2	26.88	22.0
2 0 0	27.42	100.0
2 0 2	36.13	65.1
2 2 0	48.48	24.5
2 2 2	54.34	25.4
2 0 4	55.40	28.7
4 0 2	61.93	17.3
2 2 4	69.93	15.9


W3O7: theoretical X-ray powder pattern (Cu Kα), based on DFT lattice parameters and positions (PBE+U).
No peak broadening, texture or thermal motion is included.

Atomic structure:
Lattice parameters (Å, degrees): 6.3606 11.6423 3.8580 90.00 90.00 90.00
Space group Pmmn (No. 59, origin choice 2)
Asymmetric unit:
W: 0.2500 0.0228 0.0095 (multiplicity 4)
W: 0.2500 0.7500 0.9866 (multiplicity 2)
O: 0.0420 0.6136 0.9940 (multiplicity 8)
O: 0.2500 0.0376 0.5066 (multiplicity 4)
O: 0.2500 0.7500 0.4900 (multiplicity 2)

Top 10 peaks for 15 to 90 degrees two-theta, by angle:
hkl	Position (°2θ)	Rel. int.
0 2 0	15.22	30.6
1 1 0	15.88	35.1
0 0 1	23.05	100.0
1 3 0	26.91	55.6
2 0 0	28.07	69.7
0 4 0	30.72	32.5
1 3 1	35.72	32.3
2 0 1	36.62	37.1
2 4 0	42.08	43.6
2 4 1	48.52	44.7